Entry 1:
Computed X-ray diffraction stick pattern
Compound: Tb3Al2Ni6
Radiation: Cu Kα (λ = 1.5418 Å)
Structure: a crystal structure in the Materials Project, relaxed with GGA-PBE

Structure:
Lattice parameters (Å, degrees): 7.7469 7.7469 7.7469 109.47 109.47 109.47
Fractional coordinates of all 22 atoms:
1 Tb 0.0000 0.2941 0.2941
2 Tb 0.0000 0.7059 0.7059
3 Tb 0.2941 0.0000 0.2941
4 Tb 0.2941 0.2941 0.0000
5 Tb 0.7059 0.0000 0.7059
6 Tb 0.7059 0.7059 0.0000
7 Al 0.0000 0.0000 0.5000
8 Al 0.0000 0.5000 0.0000
9 Al 0.5000 0.0000 0.0000
10 Al 0.5000 0.5000 0.5000
11 Ni 0.0000 0.3333 0.6667
12 Ni 0.0000 0.6667 0.3333
13 Ni 0.3333 0.0000 0.6667
14 Ni 0.3333 0.3333 0.6667
15 Ni 0.3333 0.6667 0.0000
16 Ni 0.3333 0.6667 0.3333
17 Ni 0.3333 0.6667 0.6667
18 Ni 0.6667 0.0000 0.3333
19 Ni 0.6667 0.3333 0.0000
20 Ni 0.6667 0.3333 0.3333
21 Ni 0.6667 0.3333 0.6667
22 Ni 0.6667 0.6667 0.3333

Top 6 peaks for 10 to 80 degrees two-theta, sorted by position:
d [Å]	2theta	I_rel
3.652	24.37	21
2.829	31.63	40
2.582	34.74	25
2.391	37.62	23
2.108	42.89	100
1.217	78.59	28

***

Entry 2:
Computed X-ray diffraction stick pattern
Compound: Tb2AlNi2
Radiation: Cu Kα (λ = 1.5418 Å)
Structure: a crystal structure in the Materials Project, relaxed with GGA-PBE

Structure:
Lattice parameters (Å, degrees): 5.4426 5.4426 5.4426 135.81 119.27 78.11
Fractional coordinates of all 5 atoms:
1 Tb 0.2058 0.2058 0.0000
2 Tb 0.7942 0.7942 0.0000
3 Al 0.5000 0.0000 0.5000
4 Ni 0.2258 0.5000 0.7258
5 Ni 0.7742 0.5000 0.2742

Top 6 peaks for 10 to 80 degrees two-theta, sorted by position:
d [Å]	2theta	I_rel
3.285	27.15	68
2.594	34.58	100
2.321	38.80	42
2.306	39.06	48
2.205	40.94	36
2.047	44.25	28

***

Entry 3:
Computed X-ray diffraction stick pattern
Compound: TbAlNi
Radiation: Cu Kα (λ = 1.5418 Å)
Structure: a crystal structure in the Materials Project, relaxed with GGA-PBE

Structure:
Lattice parameters (Å, degrees): 7.0699 7.0699 3.8145 90.00 90.00 120.00
Fractional coordinates of all 9 atoms:
1 Tb 0.0000 0.5827 0.0000
2 Tb 0.4173 0.4173 0.0000
3 Tb 0.5827 0.0000 0.0000
4 Al 0.0000 0.2350 0.5000
5 Al 0.2350 0.0000 0.5000
6 Al 0.7650 0.7650 0.5000
7 Ni 0.0000 0.0000 0.0000
8 Ni 0.3333 0.6667 0.5000
9 Ni 0.6667 0.3333 0.5000

Top 6 peaks for 10 to 80 degrees two-theta, sorted by position:
d [Å]	2theta	I_rel
3.535	25.19	37
3.061	29.17	37
2.593	34.59	97
2.388	37.68	100
2.314	38.92	34
1.551	59.59	38

***

Entry 4:
Computed X-ray diffraction stick pattern
Compound: TbAl2Ni
Radiation: Cu Kα (λ = 1.5418 Å)
Structure: a crystal structure in the Materials Project, relaxed with GGA-PBE

Structure:
Lattice parameters (Å, degrees): 5.5441 5.5441 6.8846 90.00 90.00 137.13
Fractional coordinates of all 8 atoms:
1 Tb 0.0599 0.9401 0.7500
2 Tb 0.9401 0.0599 0.2500
3 Al 0.3409 0.6591 0.5549
4 Al 0.3409 0.6591 0.9451
5 Al 0.6591 0.3409 0.0549
6 Al 0.6591 0.3409 0.4451
7 Ni 0.2166 0.7834 0.2500
8 Ni 0.7834 0.2166 0.7500

Top 6 peaks for 10 to 80 degrees two-theta, sorted by position:
d [Å]	2theta	I_rel
3.772	23.59	67
3.442	25.88	52
2.543	35.30	95
2.451	36.67	100
2.416	37.21	59
1.727	53.02	31

***

Entry 5:
Computed X-ray diffraction stick pattern
Compound: TbAl4Ni
Radiation: Cu Kα (λ = 1.5418 Å)
Structure: a crystal structure in the Materials Project, relaxed with GGA-PBE

Structure:
Lattice parameters (Å, degrees): 8.0007 8.0007 6.6116 90.00 90.00 150.55
Fractional coordinates of all 12 atoms:
1 Tb 0.1167 0.8833 0.7500
2 Tb 0.8833 0.1167 0.2500
3 Al 0.0768 0.9232 0.2500
4 Al 0.3110 0.6890 0.5528
5 Al 0.3110 0.6890 0.9472
6 Al 0.5000 0.5000 0.0000
7 Al 0.5000 0.5000 0.5000
8 Al 0.6890 0.3110 0.0528
9 Al 0.6890 0.3110 0.4472
10 Al 0.9232 0.0768 0.7500
11 Ni 0.2263 0.7737 0.2500
12 Ni 0.7737 0.2263 0.7500

Top 6 peaks for 10 to 80 degrees two-theta, sorted by position:
d [Å]	2theta	I_rel
5.027	17.64	75
2.876	31.10	88
2.531	35.47	100
2.403	37.43	56
2.308	39.02	47
2.034	44.55	58

***

Entry 6:
Computed X-ray diffraction stick pattern
Compound: TbAlNi
Radiation: Cu Kα (λ = 1.5418 Å)
Structure: a crystal structure in the Materials Project, relaxed with GGA-PBE

Structure:
Lattice parameters (Å, degrees): 8.5285 5.2293 5.2293 61.46 90.00 90.00
Fractional coordinates of all 12 atoms:
1 Tb 0.1823 0.0000 0.0000
2 Tb 0.2913 0.3293 0.3293
3 Tb 0.7087 0.3293 0.3293
4 Tb 0.8177 0.0000 0.0000
5 Al 0.0000 0.5283 0.5283
6 Al 0.5000 0.3364 0.8303
7 Al 0.5000 0.8303 0.3364
8 Al 0.5000 0.8323 0.8323
9 Ni 0.0000 0.0069 0.5195
10 Ni 0.0000 0.5195 0.0069
11 Ni 0.2612 0.6629 0.6629
12 Ni 0.7388 0.6629 0.6629

Top 6 peaks for 10 to 80 degrees two-theta, sorted by position:
d [Å]	2theta	I_rel
4.264	20.83	42
2.614	34.31	91
2.417	37.19	71
2.403	37.43	49
2.264	39.81	66
2.228	40.48	100

***

Entry 7:
Computed X-ray diffraction stick pattern
Compound: Th2Al15Ni10
Radiation: Cu Kα (λ = 1.5418 Å)
Structure: a crystal structure in the Materials Project, relaxed with GGA-PBE

Structure:
Lattice parameters (Å, degrees): 10.8883 10.8883 10.8883 159.18 118.46 65.72
Fractional coordinates of all 27 atoms:
1 Th 0.2283 0.2283 0.0000
2 Th 0.7717 0.7717 0.0000
3 Al 0.0000 0.0000 0.0000
4 Al 0.0858 0.9137 0.1721
5 Al 0.1006 0.7954 0.3051
6 Al 0.2584 0.0863 0.1721
7 Al 0.2703 0.3961 0.8742
8 Al 0.3802 0.0000 0.3802
9 Al 0.4780 0.6039 0.8742
10 Al 0.4903 0.7954 0.6949
11 Al 0.5097 0.2046 0.3051
12 Al 0.5220 0.3961 0.1258
13 Al 0.6198 0.0000 0.6198
14 Al 0.7297 0.6039 0.1258
15 Al 0.7416 0.9137 0.8279
16 Al 0.8994 0.2046 0.6949
17 Al 0.9142 0.0863 0.8279
18 Ni 0.0167 0.3355 0.6812
19 Ni 0.0798 0.5798 0.5000
20 Ni 0.2208 0.5000 0.7208
21 Ni 0.3457 0.6645 0.6812
22 Ni 0.3786 0.8786 0.5000
23 Ni 0.6214 0.1214 0.5000
24 Ni 0.6543 0.3355 0.3188
25 Ni 0.7792 0.5000 0.2792
26 Ni 0.9202 0.4202 0.5000
27 Ni 0.9833 0.6645 0.3188

Top 6 peaks for 10 to 80 degrees two-theta, sorted by position:
d [Å]	2theta	I_rel
3.439	25.91	86
2.882	31.04	74
2.675	33.50	65
2.590	34.63	100
2.326	38.72	93
1.968	46.13	60

***

Entry 8:
Computed X-ray diffraction stick pattern
Compound: ThAl3Ni2
Radiation: Cu Kα (λ = 1.5418 Å)
Structure: a crystal structure in the Materials Project, relaxed with GGA-PBE

Structure:
Lattice parameters (Å, degrees): 5.3091 5.3091 4.0733 90.00 90.00 120.00
Fractional coordinates of all 6 atoms:
1 Th 0.0000 0.0000 0.0000
2 Al 0.0000 0.5000 0.5000
3 Al 0.5000 0.0000 0.5000
4 Al 0.5000 0.5000 0.5000
5 Ni 0.3333 0.6667 0.0000
6 Ni 0.6667 0.3333 0.0000

Top 6 peaks for 10 to 80 degrees two-theta, sorted by position:
d [Å]	2theta	I_rel
4.598	19.30	36
4.073	21.82	41
3.049	29.29	56
2.655	33.77	61
2.224	40.56	100
1.616	56.99	27

***

Entry 9:
Computed X-ray diffraction stick pattern
Compound: Ti2Al3Ni
Radiation: Cu Kα (λ = 1.5418 Å)
Structure: a crystal structure in the Materials Project, relaxed with GGA-PBE

Structure:
Lattice parameters (Å, degrees): 5.1226 5.1226 7.8444 90.00 90.00 120.00
Fractional coordinates of all 12 atoms:
1 Ti 0.3333 0.6667 0.0665
2 Ti 0.3333 0.6667 0.4335
3 Ti 0.6667 0.3333 0.5665
4 Ti 0.6667 0.3333 0.9335
5 Al 0.1682 0.3363 0.7500
6 Al 0.1682 0.8318 0.7500
7 Al 0.3363 0.1682 0.2500
8 Al 0.6637 0.8318 0.7500
9 Al 0.8318 0.1682 0.2500
10 Al 0.8318 0.6637 0.2500
11 Ni 0.0000 0.0000 0.0000
12 Ni 0.0000 0.0000 0.5000

Top 6 peaks for 10 to 80 degrees two-theta, sorted by position:
d [Å]	2theta	I_rel
2.561	35.03	63
2.253	40.03	49
2.145	42.14	100
2.134	42.35	43
1.384	67.72	22
1.281	74.02	34

***

Entry 10:
Computed X-ray diffraction stick pattern
Compound: TiAlNi
Radiation: Cu Kα (λ = 1.5418 Å)
Structure: a crystal structure in the Materials Project, relaxed with GGA-PBE

Structure:
Lattice parameters (Å, degrees): 7.9563 4.9136 4.9136 61.52 90.00 90.00
Fractional coordinates of all 12 atoms:
1 Ti 0.1732 0.0000 0.0000
2 Ti 0.2938 0.6692 0.6692
3 Ti 0.7062 0.6692 0.6692
4 Ti 0.8268 0.0000 0.0000
5 Al 0.2387 0.3271 0.3271
6 Al 0.5000 0.1733 0.6855
7 Al 0.5000 0.6855 0.1733
8 Al 0.7613 0.3271 0.3271
9 Ni 0.0000 0.5061 0.5061
10 Ni 0.0000 0.5104 0.9900
11 Ni 0.0000 0.9900 0.5104
12 Ni 0.5000 0.1733 0.1733

Top 6 peaks for 10 to 80 degrees two-theta, sorted by position:
d [Å]	2theta	I_rel
7.956	11.12	58
2.260	39.89	74
2.090	43.30	86
2.084	43.42	100
2.041	44.39	41
1.989	45.61	26

***

Entry 11:
Computed X-ray diffraction stick pattern
Compound: TiAl4Ni15
Radiation: Cu Kα (λ = 1.5418 Å)
Structure: a crystal structure in the Materials Project, relaxed with GGA-PBE

Structure:
Lattice parameters (Å, degrees): 3.5523 3.5523 17.6882 90.00 90.00 90.00
Fractional coordinates of all 20 atoms:
1 Ti 0.0000 0.0000 0.0000
2 Al 0.0000 0.0000 0.2012
3 Al 0.0000 0.0000 0.3994
4 Al 0.0000 0.0000 0.6006
5 Al 0.0000 0.0000 0.7988
6 Ni 0.0000 0.5000 0.1012
7 Ni 0.0000 0.5000 0.2999
8 Ni 0.0000 0.5000 0.5000
9 Ni 0.0000 0.5000 0.7001
10 Ni 0.0000 0.5000 0.8988
11 Ni 0.5000 0.0000 0.1012
12 Ni 0.5000 0.0000 0.2999
13 Ni 0.5000 0.0000 0.5000
14 Ni 0.5000 0.0000 0.7001
15 Ni 0.5000 0.0000 0.8988
16 Ni 0.5000 0.5000 0.0000
17 Ni 0.5000 0.5000 0.2005
18 Ni 0.5000 0.5000 0.4000
19 Ni 0.5000 0.5000 0.6000
20 Ni 0.5000 0.5000 0.7995

Top 6 peaks for 10 to 80 degrees two-theta, sorted by position:
d [Å]	2theta	I_rel
2.508	35.80	6
2.048	44.22	100
1.776	51.45	31
1.769	51.68	15
1.256	75.73	9
1.253	75.92	18

***

Entry 12:
Computed X-ray diffraction stick pattern
Compound: Ti3AlNi12
Radiation: Cu Kα (λ = 1.5418 Å)
Structure: a crystal structure in the Materials Project, relaxed with GGA-PBE

Structure:
Lattice parameters (Å, degrees): 5.0731 5.0731 8.2635 90.00 90.00 120.00
Fractional coordinates of all 16 atoms:
1 Ti 0.0000 0.0000 0.0000
2 Ti 0.6667 0.3333 0.2483
3 Ti 0.6667 0.3333 0.7517
4 Al 0.3333 0.6667 0.5000
5 Ni 0.0107 0.5054 0.0000
6 Ni 0.1668 0.3336 0.2505
7 Ni 0.1668 0.3336 0.7495
8 Ni 0.1668 0.8332 0.2505
9 Ni 0.1668 0.8332 0.7495
10 Ni 0.3240 0.1620 0.5000
11 Ni 0.4946 0.5054 0.0000
12 Ni 0.4946 0.9893 0.0000
13 Ni 0.6664 0.8332 0.2505
14 Ni 0.6664 0.8332 0.7495
15 Ni 0.8380 0.1620 0.5000
16 Ni 0.8380 0.6760 0.5000

Top 6 peaks for 10 to 80 degrees two-theta, sorted by position:
d [Å]	2theta	I_rel
2.197	41.09	9
2.123	42.58	42
2.066	43.82	36
1.940	46.84	100
1.717	53.34	21
1.268	74.87	19

***

Question: Number 11 is which compound?
Answer: TiAl4Ni15

***

Please write out number 9 again, unchanged.
Computed X-ray diffraction stick pattern
Compound: Ti2Al3Ni
Radiation: Cu Kα (λ = 1.5418 Å)
Structure: a crystal structure in the Materials Project, relaxed with GGA-PBE

Structure:
Lattice parameters (Å, degrees): 5.1226 5.1226 7.8444 90.00 90.00 120.00
Fractional coordinates of all 12 atoms:
1 Ti 0.3333 0.6667 0.0665
2 Ti 0.3333 0.6667 0.4335
3 Ti 0.6667 0.3333 0.5665
4 Ti 0.6667 0.3333 0.9335
5 Al 0.1682 0.3363 0.7500
6 Al 0.1682 0.8318 0.7500
7 Al 0.3363 0.1682 0.2500
8 Al 0.6637 0.8318 0.7500
9 Al 0.8318 0.1682 0.2500
10 Al 0.8318 0.6637 0.2500
11 Ni 0.0000 0.0000 0.0000
12 Ni 0.0000 0.0000 0.5000

Top 6 peaks for 10 to 80 degrees two-theta, sorted by position:
d [Å]	2theta	I_rel
2.561	35.03	63
2.253	40.03	49
2.145	42.14	100
2.134	42.35	43
1.384	67.72	22
1.281	74.02	34